This entry pairs a crystal structure of Pb3Br2O2 with its simulated X-ray diffraction stick pattern. Radiation: λ = 1.5418 Å (Cu Kα). Structure: a PBE-relaxed structure.

Crystal structure
Lattice parameters (Å, degrees): 12.522 6.001 10.161 90.00 90.00 90.00
Atoms (fractional coordinates):
Pb  0.058  0.250  0.216
Pb  0.078  0.250  0.575
Pb  0.208  0.750  0.363
Pb  0.292  0.250  0.863
Pb  0.422  0.750  0.075
Pb  0.442  0.750  0.716
Pb  0.558  0.250  0.284
Pb  0.578  0.250  0.925
Pb  0.708  0.750  0.137
Pb  0.792  0.250  0.637
Pb  0.922  0.750  0.425
Pb  0.942  0.750  0.784
Br  0.128  0.750  0.081
Br  0.190  0.750  0.696
Br  0.310  0.250  0.196
Br  0.372  0.250  0.581
Br  0.628  0.750  0.419
Br  0.690  0.750  0.804
Br  0.810  0.250  0.304
Br  0.872  0.250  0.919
O  0.077  0.004  0.389
O  0.077  0.496  0.389
O  0.423  0.504  0.889
O  0.423  0.996  0.889
O  0.577  0.004  0.111
O  0.577  0.496  0.111
O  0.923  0.504  0.611
O  0.923  0.996  0.611

Largest 10 diffraction maxima, sorted by position, 15 to 90 degrees two-theta:
2θ = 22.31°, I = 35.1
2θ = 24.03°, I = 40.9
2θ = 27.47°, I = 61.3
2θ = 27.66°, I = 47.3
2θ = 29.78°, I = 79.8
2θ = 30.30°, I = 97.0
2θ = 31.15°, I = 43.9
2θ = 32.25°, I = 100.0
2θ = 41.09°, I = 46.5
2θ = 49.97°, I = 38.5